[1]
Er3Zn2Cd4: calculated X-ray powder pattern (Cu Kα (λ = 1.5418 Å)), based on a cell relaxed with PBE.
No peak broadening, texture or thermal motion is included.

Most intense lines, 2θ = 5–70°, in order of rising 2θ:
33.96°, d = 2.640 Å, rel. 100
37.36°, d = 2.407 Å, rel. 24
37.55°, d = 2.395 Å, rel. 48
51.40°, d = 1.778 Å, rel. 20
51.60°, d = 1.771 Å, rel. 10
65.21°, d = 1.431 Å, rel. 10
65.42°, d = 1.427 Å, rel. 10
67.30°, d = 1.391 Å, rel. 17

Cell and atoms:
```
data_Er3Zn2Cd4
_chemical_formula_sum 'Er6 Zn4 Cd8'
_cell_length_a 10.745
_cell_length_b 4.814
_cell_length_c 8.959
_cell_angle_alpha 90.00
_cell_angle_beta 118.06
_cell_angle_gamma 90.00
_space_group_name_H-M_alt 'C 1 2/m 1'
_space_group_IT_number 12
loop_
_space_group_symop_operation_xyz
'x,y,z'
'-x,-y,-z'
'-x,y,-z'
'x,-y,z'
'x+1/2,y+1/2,z'
'-x+1/2,-y+1/2,-z'
'-x+1/2,y+1/2,-z'
'x+1/2,-y+1/2,z'
loop_
_atom_site_label
_atom_site_type_symbol
_atom_site_fract_x
_atom_site_fract_y
_atom_site_fract_z
Er1 Er 0.000 0.000 0.000
Er2 Er 0.168 0.500 0.663
Zn1 Zn 0.108 0.500 0.278
Cd1 Cd 0.056 0.000 0.384
Cd2 Cd 0.218 0.500 0.059
```

---

[2]
AcZrGaO5: calculated X-ray powder pattern (Cu Kα (λ = 1.5418 Å)), based on a cell relaxed with PBE.
No peak broadening, texture or thermal motion is included.

Most intense lines, 2θ = 5–70°, in order of rising 2θ:
17.26°, d = 5.137 Å, rel. 44
25.43°, d = 3.503 Å, rel. 77
27.32°, d = 3.264 Å, rel. 82
31.09°, d = 2.877 Å, rel. 100
31.41°, d = 2.848 Å, rel. 47
48.40°, d = 1.881 Å, rel. 35
50.71°, d = 1.800 Å, rel. 33
56.37°, d = 1.632 Å, rel. 34

Cell and atoms:
```
data_AcZrGaO5
_chemical_formula_sum 'Ac4 Zr4 Ga4 O20'
_cell_length_a 7.052
_cell_length_b 9.615
_cell_length_c 7.639
_cell_angle_alpha 90.00
_cell_angle_beta 112.24
_cell_angle_gamma 90.00
_space_group_name_H-M_alt 'C 1 2/c 1'
_space_group_IT_number 15
loop_
_space_group_symop_operation_xyz
'x,y,z'
'-x,-y,-z'
'-x,y,-z+1/2'
'x,-y,z+1/2'
'x+1/2,y+1/2,z'
'-x+1/2,-y+1/2,-z'
'-x+1/2,y+1/2,-z+1/2'
'x+1/2,-y+1/2,z+1/2'
loop_
_atom_site_label
_atom_site_type_symbol
_atom_site_fract_x
_atom_site_fract_y
_atom_site_fract_z
Ac1 Ac 0.000 0.167 0.250
Zr1 Zr 0.000 0.500 0.000
Ga1 Ga 0.000 0.182 0.750
O1 O 0.000 0.421 0.250
O2 O 0.105 0.293 0.607
O3 O 0.185 0.057 0.919
```

---

[3]
MnNbBr6: calculated X-ray powder pattern (Cu Kα (λ = 1.5418 Å)), based on a cell relaxed with PBE.
No peak broadening, texture or thermal motion is included.

Most intense lines, 2θ = 5–70°, in order of rising 2θ:
13.70°, d = 6.465 Å, rel. 68
17.59°, d = 5.041 Å, rel. 48
26.32°, d = 3.386 Å, rel. 37
28.43°, d = 3.140 Å, rel. 40
31.23°, d = 2.864 Å, rel. 100
32.72°, d = 2.737 Å, rel. 48
40.03°, d = 2.252 Å, rel. 25
45.86°, d = 1.979 Å, rel. 63

Cell and atoms:
```
data_MnNbBr6
_chemical_formula_sum 'Mn2 Nb2 Br12'
_cell_length_a 6.683
_cell_length_b 12.930
_cell_length_c 6.681
_cell_angle_alpha 90.00
_cell_angle_beta 110.00
_cell_angle_gamma 90.00
_space_group_name_H-M_alt 'C 1 2/m 1'
_space_group_IT_number 12
loop_
_space_group_symop_operation_xyz
'x,y,z'
'-x,-y,-z'
'-x,y,-z'
'x,-y,z'
'x+1/2,y+1/2,z'
'-x+1/2,-y+1/2,-z'
'-x+1/2,y+1/2,-z'
'x+1/2,-y+1/2,z'
loop_
_atom_site_label
_atom_site_type_symbol
_atom_site_fract_x
_atom_site_fract_y
_atom_site_fract_z
Mn1 Mn 0.000 0.000 0.000
Nb1 Nb 0.000 0.500 0.500
Br1 Br 0.231 0.500 0.269
Br2 Br 0.249 0.139 0.249
```

---

[4]
NiIr3: calculated X-ray powder pattern (Cu Kα (λ = 1.5418 Å)), based on a cell relaxed with PBE.
No peak broadening, texture or thermal motion is included.

Most intense lines, 2θ = 5–70°, in order of rising 2θ:
19.52°, d = 4.547 Å, rel. 10
20.31°, d = 4.372 Å, rel. 11
25.58°, d = 3.483 Å, rel. 7
40.90°, d = 2.207 Å, rel. 100
41.30°, d = 2.186 Å, rel. 97
47.56°, d = 1.912 Å, rel. 65
48.35°, d = 1.882 Å, rel. 31
68.96°, d = 1.362 Å, rel. 11

Cell and atoms:
```
data_NiIr3
_chemical_formula_sum 'Ni2 Ir6'
_cell_length_a 8.891
_cell_length_b 2.724
_cell_length_c 4.624
_cell_angle_alpha 90.00
_cell_angle_beta 100.44
_cell_angle_gamma 90.00
_space_group_name_H-M_alt 'C 1 2/m 1'
_space_group_IT_number 12
loop_
_space_group_symop_operation_xyz
'x,y,z'
'-x,-y,-z'
'-x,y,-z'
'x,-y,z'
'x+1/2,y+1/2,z'
'-x+1/2,-y+1/2,-z'
'-x+1/2,y+1/2,-z'
'x+1/2,-y+1/2,z'
loop_
_atom_site_label
_atom_site_type_symbol
_atom_site_fract_x
_atom_site_fract_y
_atom_site_fract_z
Ni1 Ni 0.000 0.000 0.000
Ir1 Ir 0.000 0.500 0.500
Ir2 Ir 0.249 0.500 0.246
```

---

[5]
NpB4Ru4: calculated X-ray powder pattern (Cu Kα (λ = 1.5418 Å)), based on a cell relaxed with PBE.
No peak broadening, texture or thermal motion is included.

Most intense lines, 2θ = 5–70°, in order of rising 2θ:
23.39°, d = 3.804 Å, rel. 36
29.51°, d = 3.026 Å, rel. 24
33.99°, d = 2.638 Å, rel. 30
35.56°, d = 2.525 Å, rel. 45
39.43°, d = 2.286 Å, rel. 100
40.59°, d = 2.222 Å, rel. 63
45.10°, d = 2.010 Å, rel. 22
63.65°, d = 1.462 Å, rel. 25

Cell and atoms:
```
data_NpB4Ru4
_chemical_formula_sum 'Np2 B8 Ru8'
_cell_length_a 5.380
_cell_length_b 5.380
_cell_length_c 7.321
_cell_angle_alpha 90.00
_cell_angle_beta 90.00
_cell_angle_gamma 90.00
_space_group_name_H-M_alt 'P 42/n m c'
_space_group_IT_number 137
loop_
_space_group_symop_operation_xyz
'x,y,z'
'-x,-y,-z'
'-y+1/2,x,z+1/2'
'y+1/2,-x,-z+1/2'
'-x+1/2,-y+1/2,z'
'x+1/2,y+1/2,-z'
'y,-x+1/2,z+1/2'
'-y,x+1/2,-z+1/2'
'x+1/2,-y,-z'
'-x+1/2,y,z'
'-y,-x,-z+1/2'
'y,x,z+1/2'
'-x,y+1/2,-z'
'x,-y+1/2,z'
'y+1/2,x+1/2,-z+1/2'
'-y+1/2,-x+1/2,z+1/2'
loop_
_atom_site_label
_atom_site_type_symbol
_atom_site_fract_x
_atom_site_fract_y
_atom_site_fract_z
Np1 Np 0.250 0.750 0.250
B1 B 0.081 0.250 0.100
Ru1 Ru 0.005 0.750 0.608
```

---

[6]
ErSc5Sb6: calculated X-ray powder pattern (Cu Kα (λ = 1.5418 Å)), based on a cell relaxed with PBE.
No peak broadening, texture or thermal motion is included.

Most intense lines, 2θ = 5–70°, in order of rising 2θ:
14.72°, d = 6.017 Å, rel. 3
26.00°, d = 3.427 Å, rel. 17
30.11°, d = 2.968 Å, rel. 100
43.10°, d = 2.099 Å, rel. 73
51.02°, d = 1.790 Å, rel. 7
53.47°, d = 1.714 Å, rel. 25
62.60°, d = 1.484 Å, rel. 12
68.95°, d = 1.362 Å, rel. 3

Cell and atoms:
```
data_ErSc5Sb6
_chemical_formula_sum 'Er2 Sc10 Sb12'
_cell_length_a 7.267
_cell_length_b 12.596
_cell_length_c 7.273
_cell_angle_alpha 90.00
_cell_angle_beta 109.52
_cell_angle_gamma 90.00
_space_group_name_H-M_alt 'C 1 2/m 1'
_space_group_IT_number 12
loop_
_space_group_symop_operation_xyz
'x,y,z'
'-x,-y,-z'
'-x,y,-z'
'x,-y,z'
'x+1/2,y+1/2,z'
'-x+1/2,-y+1/2,-z'
'-x+1/2,y+1/2,-z'
'x+1/2,-y+1/2,z'
loop_
_atom_site_label
_atom_site_type_symbol
_atom_site_fract_x
_atom_site_fract_y
_atom_site_fract_z
Er1 Er 0.000 0.000 0.000
Sc1 Sc 0.000 0.163 0.500
Sc2 Sc 0.000 0.332 0.000
Sc3 Sc 0.000 0.500 0.500
Sb1 Sb 0.243 0.500 0.252
Sb2 Sb 0.244 0.330 0.744
```